No. 1
Y6HoSc2: theoretical powder XRD pattern (Cu Kα X-rays), based on the PBE geometry in Alexandria.
Intensities are scaled so that the largest is 100.

Cell and atoms:
abc: 11.7118 11.7118 11.7118
angles: 152.71 131.81 56.26
Fractional positions:
Y1 0.0026 0.3410 0.6713
Y2 0.0805 0.0805 0.0000
Y3 0.1697 0.8410 0.3384
Y4 0.3303 0.6687 0.6713
Y5 0.4195 0.4195 0.0000
Y6 0.4974 0.1687 0.3384
Y7 0.5026 0.8313 0.6616
Y8 0.5805 0.5805 0.0000
Y9 0.6697 0.3313 0.3287
Y10 0.8303 0.1590 0.6616
Y11 0.9195 0.9195 0.0000
Y12 0.9974 0.6590 0.3287
Ho1 0.2500 0.2500 0.0000
Ho2 0.7500 0.7500 0.0000
Sc1 0.1665 0.4970 0.6634
Sc2 0.3335 0.9970 0.3305
Sc3 0.6665 0.0030 0.6695
Sc4 0.8335 0.5030 0.3366

Peak list (6 most intense, 2θ from 10° to 90°, sorted by position)
2θ 32.03, I = 100.0
2θ 32.42, I = 95.1
2θ 46.22, I = 35.2
2θ 57.59, I = 36.0
2θ 57.83, I = 17.3
2θ 63.71, I = 24.8

=====

No. 2
Y2Ho2Sc3: theoretical powder XRD pattern (Cu Kα X-rays), based on the PBE geometry in Alexandria.
Intensities are scaled so that the largest is 100.

Cell and atoms:
abc: 8.0709 8.0709 8.0709
angles: 109.47 109.47 109.47
Fractional positions:
Y1 0.0000 0.0799 0.5000
Y2 0.0799 0.5000 0.0000
Y3 0.4201 0.4201 0.4201
Y4 0.5000 0.0000 0.0799
Ho1 0.0000 0.6786 0.5000
Ho2 0.5000 0.0000 0.6786
Ho3 0.6786 0.5000 0.0000
Ho4 0.8214 0.8214 0.8214
Sc1 0.1976 0.9476 0.2500
Sc2 0.2500 0.1976 0.9476
Sc3 0.3024 0.5524 0.7500
Sc4 0.5524 0.7500 0.3024
Sc5 0.7500 0.3024 0.5524
Sc6 0.9476 0.2500 0.1976

Peak list (6 most intense, 2θ from 10° to 90°, sorted by position)
2θ 23.38, I = 42.4
2θ 30.33, I = 100.0
2θ 33.30, I = 29.1
2θ 36.06, I = 87.2
2θ 49.90, I = 45.6
2θ 61.32, I = 38.3

=====

No. 3
Y2Ho5Sc4: theoretical powder XRD pattern (Cu Kα X-rays), based on the PBE geometry in Alexandria.
Intensities are scaled so that the largest is 100.

Cell and atoms:
abc: 6.7684 6.7684 10.1024
angles: 120.00 120.00 58.23
Fractional positions:
Y1 0.0746 0.0746 0.2613
Y2 0.9254 0.9254 0.7387
Ho1 0.0728 0.6102 0.3323
Ho2 0.3898 0.9272 0.6677
Ho3 0.5000 0.5000 0.0000
Ho4 0.6102 0.0728 0.3323
Ho5 0.9272 0.3898 0.6677
Sc1 0.2438 0.2438 0.0276
Sc2 0.4011 0.4011 0.6306
Sc3 0.5989 0.5989 0.3694
Sc4 0.7562 0.7562 0.9724

Peak list (6 most intense, 2θ from 10° to 90°, sorted by position)
2θ 18.57, I = 71.9
2θ 31.07, I = 99.8
2θ 31.98, I = 100.0
2θ 32.42, I = 72.9
2θ 33.04, I = 80.6
2θ 37.94, I = 59.4

=====

No. 4
Y2Ho5Sc: theoretical powder XRD pattern (Cu Kα X-rays), based on the PBE geometry in Alexandria.
Intensities are scaled so that the largest is 100.

Cell and atoms:
abc: 8.3304 7.1551 6.6159
angles: 74.33 55.79 49.88
Fractional positions:
Y1 0.2457 0.7543 0.2457
Y2 0.7543 0.2457 0.7543
Ho1 0.2516 0.2516 0.2484
Ho2 0.3350 0.3350 0.6650
Ho3 0.3371 0.8319 0.6629
Ho4 0.7516 0.7516 0.7484
Ho5 0.8319 0.3371 0.1681
Sc1 0.8338 0.8338 0.1662

Peak list (6 most intense, 2θ from 10° to 90°, sorted by position)
2θ 28.82, I = 24.0
2θ 32.16, I = 24.0
2θ 33.09, I = 100.0
2θ 57.94, I = 19.9
2θ 61.64, I = 22.0
2θ 62.21, I = 16.1

=====

No. 5
Y6Ho2Sc: theoretical powder XRD pattern (Cu Kα X-rays), based on the PBE geometry in Alexandria.
Intensities are scaled so that the largest is 100.

Cell and atoms:
abc: 9.4641 9.4641 6.3554
angles: 92.56 92.56 92.61
Fractional positions:
Y1 0.0264 0.1715 0.0847
Y2 0.0964 0.6804 0.3936
Y3 0.1715 0.0264 0.5847
Y4 0.1973 0.5523 0.9015
Y5 0.3196 0.9036 0.1064
Y6 0.4477 0.8027 0.5985
Y7 0.5523 0.1973 0.4015
Y8 0.6804 0.0964 0.8936
Y9 0.8027 0.4477 0.0985
Y10 0.8285 0.9736 0.4153
Y11 0.9036 0.3196 0.6064
Y12 0.9736 0.8285 0.9153
Ho1 0.2383 0.3553 0.4573
Ho2 0.3553 0.2383 0.9573
Ho3 0.6447 0.7617 0.0427
Ho4 0.7617 0.6447 0.5427
Sc1 0.4673 0.5327 0.2500
Sc2 0.5327 0.4673 0.7500

Peak list (6 most intense, 2θ from 10° to 90°, sorted by position)
2θ 29.67, I = 44.8
2θ 31.12, I = 44.4
2θ 32.17, I = 74.6
2θ 32.35, I = 100.0
2θ 33.15, I = 69.1
2θ 35.00, I = 42.5

=====

No. 6
Y10Ho4Sc: theoretical powder XRD pattern (Cu Kα X-rays), based on the PBE geometry in Alexandria.
Intensities are scaled so that the largest is 100.

Cell and atoms:
abc: 8.6059 8.6059 8.6059
angles: 110.79 110.79 106.86
Fractional positions:
Y1 0.0489 0.7257 0.1005
Y2 0.0516 0.9511 0.6768
Y3 0.2500 0.7500 0.5000
Y4 0.2743 0.3748 0.3232
Y5 0.3748 0.0516 0.1005
Y6 0.6252 0.9484 0.8995
Y7 0.7257 0.6252 0.6768
Y8 0.7500 0.2500 0.5000
Y9 0.9484 0.0489 0.3232
Y10 0.9511 0.2743 0.8995
Ho1 0.1764 0.5667 0.7431
Ho2 0.4333 0.1764 0.6097
Ho3 0.5667 0.8236 0.3903
Ho4 0.8236 0.4333 0.2569
Sc1 0.5000 0.5000 0.0000

Peak list (6 most intense, 2θ from 10° to 90°, sorted by position)
2θ 27.65, I = 48.8
2θ 28.75, I = 65.4
2θ 28.89, I = 86.3
2θ 33.27, I = 100.0
2θ 33.86, I = 61.4
2θ 45.09, I = 43.3

=====

No. 7
Y2Ho5Sc4: theoretical powder XRD pattern (Cu Kα X-rays), based on the PBE geometry in Alexandria.
Intensities are scaled so that the largest is 100.

Cell and atoms:
abc: 8.6699 3.4986 10.7599
angles: 90.00 95.11 90.00
Fractional positions:
Y1 0.0751 0.0000 0.1374
Y2 0.9249 0.0000 0.8626
Ho1 0.1482 0.0000 0.6334
Ho2 0.4533 0.0000 0.1687
Ho3 0.5000 0.0000 0.5000
Ho4 0.5467 0.0000 0.8313
Ho5 0.8518 0.0000 0.3666
Sc1 0.2012 0.5000 0.3730
Sc2 0.2510 0.5000 0.9266
Sc3 0.7490 0.5000 0.0734
Sc4 0.7988 0.5000 0.6270

Peak list (6 most intense, 2θ from 10° to 90°, sorted by position)
2θ 25.46, I = 100.0
2θ 31.05, I = 96.3
2θ 32.76, I = 61.8
2θ 32.95, I = 58.6
2θ 33.99, I = 52.8
2θ 40.57, I = 69.1

=====

No. 8
Y5Ho4Sc: theoretical powder XRD pattern (Cu Kα X-rays), based on the PBE geometry in Alexandria.
Intensities are scaled so that the largest is 100.

Cell and atoms:
abc: 9.7509 9.7509 9.4298
angles: 100.21 100.21 21.08
Fractional positions:
Y1 0.0000 0.0000 0.0000
Y2 0.2861 0.2861 0.8547
Y3 0.3861 0.3861 0.2185
Y4 0.6139 0.6139 0.7815
Y5 0.7139 0.7139 0.1453
Ho1 0.1793 0.1793 0.5091
Ho2 0.4335 0.4335 0.7158
Ho3 0.5665 0.5665 0.2842
Ho4 0.8207 0.8207 0.4909
Sc1 0.0000 0.0000 0.5000

Peak list (6 most intense, 2θ from 10° to 90°, sorted by position)
2θ 31.20, I = 55.6
2θ 31.37, I = 88.7
2θ 31.47, I = 87.8
2θ 31.66, I = 53.9
2θ 32.53, I = 100.0
2θ 34.77, I = 82.9

=====

No. 9
Y4Ho2Sc: theoretical powder XRD pattern (Cu Kα X-rays), based on the PBE geometry in Alexandria.
Intensities are scaled so that the largest is 100.

Cell and atoms:
abc: 6.2240 8.3461 9.0908
angles: 84.23 89.99 68.12
Fractional positions:
Y1 0.0000 0.0000 0.0000
Y2 0.0380 0.5765 0.0685
Y3 0.1346 0.7180 0.7049
Y4 0.2780 0.4396 0.4187
Y5 0.3268 0.0010 0.4895
Y6 0.4306 0.1377 0.1386
Y7 0.7113 0.5783 0.5590
Y8 0.7544 0.1440 0.6348
Ho1 0.1865 0.2876 0.7796
Ho2 0.5630 0.8577 0.8544
Ho3 0.6110 0.4343 0.9244
Ho4 0.8464 0.2890 0.2785
Sc1 0.4722 0.7172 0.2087
Sc2 0.9016 0.8599 0.3485

Peak list (6 most intense, 2θ from 10° to 90°, sorted by position)
2θ 28.70, I = 24.4
2θ 32.14, I = 24.2
2θ 32.98, I = 100.0
2θ 50.84, I = 19.2
2θ 57.83, I = 19.3
2θ 61.43, I = 21.5

=====

No. 10
YHo2Sc5: theoretical powder XRD pattern (Cu Kα X-rays), based on the PBE geometry in Alexandria.
Intensities are scaled so that the largest is 100.

Cell and atoms:
abc: 6.7122 6.7122 6.7122
angles: 119.40 119.40 91.05
Fractional positions:
Y1 0.0000 0.0000 0.0000
Ho1 0.0003 0.5003 0.5000
Ho2 0.5003 0.0003 0.5000
Sc1 0.0005 0.0005 0.5003
Sc2 0.0005 0.5001 0.0000
Sc3 0.5001 0.0005 0.0000
Sc4 0.5001 0.5001 0.4997
Sc5 0.5005 0.5005 0.0000

Peak list (6 most intense, 2θ from 10° to 90°, sorted by position)
2θ 18.53, I = 16.6
2θ 18.87, I = 17.8
2θ 32.58, I = 100.0
2θ 37.56, I = 33.6
2θ 54.71, I = 21.8
2θ 64.65, I = 25.9

=====

No. 11
YHoSc4: theoretical powder XRD pattern (Cu Kα X-rays), based on the PBE geometry in Alexandria.
Intensities are scaled so that the largest is 100.

Cell and atoms:
abc: 9.7573 9.7573 5.2944
angles: 90.00 90.00 140.48
Fractional positions:
Y1 0.1249 0.8751 0.7500
Y2 0.8751 0.1249 0.2500
Ho1 0.3749 0.6251 0.2500
Ho2 0.6251 0.3749 0.7500
Sc1 0.0420 0.4587 0.7500
Sc2 0.2096 0.2930 0.7500
Sc3 0.2930 0.2096 0.2500
Sc4 0.4587 0.0420 0.2500
Sc5 0.5413 0.9580 0.7500
Sc6 0.7070 0.7904 0.7500
Sc7 0.7904 0.7070 0.2500
Sc8 0.9580 0.5413 0.2500

Peak list (6 most intense, 2θ from 10° to 90°, sorted by position)
2θ 19.35, I = 42.9
2θ 33.45, I = 100.0
2θ 33.84, I = 77.2
2θ 48.33, I = 23.0
2θ 60.29, I = 35.2
2θ 66.81, I = 19.6

=====

No. 12
YHo5Sc2: theoretical powder XRD pattern (Cu Kα X-rays), based on the PBE geometry in Alexandria.
Intensities are scaled so that the largest is 100.

Cell and atoms:
abc: 8.2289 7.0721 6.5407
angles: 74.27 55.82 49.91
Fractional positions:
Y1 0.0000 0.0000 0.0000
Ho1 0.0028 0.5037 0.9972
Ho2 0.0844 0.0844 0.4156
Ho3 0.5001 0.5001 0.4999
Ho4 0.5037 0.0028 0.4963
Ho5 0.5844 0.5844 0.9156
Sc1 0.0862 0.5848 0.4152
Sc2 0.5848 0.0862 0.9138

Peak list (6 most intense, 2θ from 10° to 90°, sorted by position)
2θ 29.15, I = 25.7
2θ 32.57, I = 23.7
2θ 33.48, I = 100.0
2θ 51.67, I = 20.7
2θ 58.69, I = 19.8
2θ 62.43, I = 21.6